Na2MgSnP2SO12: simulated XRD peak list (copper Kα), based on the GGA-PBE geometry in the Materials Project.

Principal peaks in the range 2θ = 15–90°, in order of rising 2θ:
| 2θ/deg | intensity | (hkl) |
| --- | --- | --- |
| 19.57 | 76 | 1 1 1 |
| 20.00 | 18 | 0 2 0 |
| 20.15 | 42 | 3 1 -1 |
| 23.30 | 66 | 0 2 1 |
| 23.48 | 31 | 3 1 0 |
| 24.59 | 24 | 4 0 -2 |
| 28.10 | 34 | 2 2 -2 |
| 31.21 | 100 | 0 2 2 |
| 31.41 | 41 | 3 1 1 |
| 35.10 | 36 | 3 3 -1 |
| 48.04 | 23 | 6 2 0 |
| 51.34 | 20 | 5 1 -5 |

Atomic structure:
Cell lengths 15.2339, 8.8786, 9.0967 Å; angles 90.00, 124.39, 90.00 degrees
Space group Cc (No. 9)
Unique sites:
1 Na 0.0000 0.0689 0.0000
2 Na 0.0763 0.2568 0.7518
3 Mg 0.2115 0.2525 0.1817
4 Sn 0.4081 0.2542 0.7865
5 P 0.1615 0.1018 0.4765
6 P 0.3077 0.4549 0.9827
7 S 0.4567 0.1008 0.4849
8 O 0.0507 0.3276 0.0069
9 O 0.0645 0.1801 0.4697
10 O 0.1536 0.0673 0.0007
11 O 0.1590 0.1348 0.3106
12 O 0.2369 0.3539 0.0070
13 O 0.2479 0.4403 0.3254
14 O 0.2594 0.1734 0.6510
15 O 0.3625 0.1676 0.3304
16 O 0.3917 0.4530 0.6602
17 O 0.3930 0.3570 0.9740
18 O 0.4589 0.1206 0.6524
19 O 0.4625 0.0672 0.9707

---

K2TlInCl6: simulated XRD peak list (copper Kα), based on the GGA-PBE geometry in the Materials Project.

Principal peaks in the range 2θ = 15–90°, in order of rising 2θ:
| 2θ/deg | intensity | (hkl) |
| --- | --- | --- |
| 15.92 | 100 | 2 0 0 |
| 22.59 | 100 | 2 2 0 |
| 32.16 | 69 | 4 0 0 |
| 36.08 | 50 | 4 2 0 |
| 39.66 | 44 | 4 2 2 |
| 46.12 | 46 | 4 4 0 |
| 49.10 | 26 | 6 0 0 |
| 51.95 | 24 | 6 2 0 |
| 57.34 | 15 | 4 4 4 |
| 62.42 | 26 | 6 4 2 |
| 76.54 | 18 | 8 4 0 |
| 89.85 | 15 | 10 2 0 |

Atomic structure:
Cell lengths 11.1332, 11.1332, 11.1332 Å; angles 90.00, 90.00, 90.00 degrees
Space group Fm-3m (No. 225)
Unique sites:
1 K 0.2500 0.2500 0.2500
2 Tl 0.0000 0.0000 0.0000
3 In 0.0000 0.0000 0.5000
4 Cl 0.0000 0.0000 0.2715

---

Tm2Fe17: simulated XRD peak list (copper Kα), based on the GGA-PBE geometry in the Materials Project.

Principal peaks in the range 2θ = 15–90°, in order of rising 2θ:
| 2θ/deg | intensity | (hkl) |
| --- | --- | --- |
| 30.35 | 42 | 1 1 2 |
| 37.05 | 43 | 3 0 0 |
| 41.12 | 28 | 2 0 3 |
| 43.05 | 56 | 2 2 0 |
| 43.25 | 100 | 3 0 2 |
| 43.85 | 30 | 0 0 4 |
| 46.68 | 15 | 2 1 3 |
| 62.67 | 15 | 4 1 2 |
| 63.14 | 17 | 2 2 4 |
| 71.07 | 17 | 3 3 2 |
| 78.91 | 17 | 6 0 0 |
| 80.18 | 19 | 3 0 6 |

Atomic structure:
Cell lengths 8.4046, 8.4046, 8.2577 Å; angles 90.00, 90.00, 120.00 degrees
Space group P6_3/mmc (No. 194)
Unique sites:
1 Tm 0.0000 0.0000 0.2500
2 Tm 0.3333 0.6667 0.2500
3 Fe 0.0000 0.5000 0.0000
4 Fe 0.0359 0.3651 0.7500
5 Fe 0.1657 0.3313 0.0144
6 Fe 0.3333 0.6667 0.6068

---

Sr2CaSn5: simulated XRD peak list (copper Kα), based on the GGA-PBE geometry in the Materials Project.

Principal peaks in the range 2θ = 15–90°, in order of rising 2θ:
| 2θ/deg | intensity | (hkl) |
| --- | --- | --- |
| 15.60 | 28 | 1 1 1 |
| 28.03 | 14 | 2 2 1 |
| 31.51 | 100 | 2 2 2 |
| 32.08 | 37 | 3 1 2 |
| 32.37 | 33 | 1 3 0 |
| 32.96 | 31 | 0 0 4 |
| 34.05 | 21 | 4 0 0 |
| 36.65 | 23 | 2 2 3 |
| 37.16 | 29 | 3 1 3 |
| 48.09 | 15 | 4 0 4 |
| 54.03 | 18 | 5 3 0 |
| 62.53 | 14 | 3 5 2 |

Atomic structure:
Cell lengths 10.5330, 8.5976, 10.8713 Å; angles 90.00, 90.00, 90.00 degrees
Space group Cmcm (No. 63)
Unique sites:
1 Sr 0.2029 0.0000 0.0000
2 Ca 0.0000 0.3580 0.2500
3 Sn 0.0000 0.0351 0.7500
4 Sn 0.0000 0.3145 0.5499
5 Sn 0.2036 0.2890 0.7500

---

PtCl3: simulated XRD peak list (copper Kα), based on the GGA-PBE geometry in the Materials Project.

Principal peaks in the range 2θ = 15–90°, in order of rising 2θ:
| 2θ/deg | intensity | (hkl) |
| --- | --- | --- |
| 15.86 | 18 | 3 -1 1 |
| 19.53 | 39 | 4 -3 1 |
| 21.14 | 31 | 4 0 1 |
| 21.27 | 19 | 1 4 0 |
| 26.31 | 15 | 3 1 2 |
| 32.32 | 14 | 7 -6 1 |
| 33.63 | 20 | 3 0 3 |
| 35.06 | 100 | 3 4 2 |
| 46.20 | 14 | 6 4 2 |
| 50.22 | 31 | 10 1 0 |
| 50.63 | 32 | 7 -3 4 |
| 62.71 | 17 | 14 -6 2 |

Atomic structure:
Cell lengths 22.0994, 22.0994, 8.7999 Å; angles 90.00, 90.00, 120.00 degrees
Space group R-3 (No. 148, hexagonal axes)
Unique sites:
1 Pt 0.0061 0.9141 0.1576
2 Pt 0.0258 0.7265 0.4974
3 Cl 0.0059 0.9168 0.6948
4 Cl 0.0191 0.8127 0.3525
5 Cl 0.0278 0.6377 0.6631
6 Cl 0.0347 0.5551 0.3131
7 Cl 0.0484 0.4441 0.0012
8 Cl 0.0775 0.1723 0.9997

---

ScB2Os: simulated XRD peak list (copper Kα), based on the GGA-PBE geometry in the Materials Project.

Principal peaks in the range 2θ = 15–90°, in order of rising 2θ:
| 2θ/deg | intensity | (hkl) |
| --- | --- | --- |
| 22.34 | 100 | 0 1 1 |
| 27.38 | 29 | 1 1 1 |
| 28.88 | 25 | 0 0 2 |
| 33.01 | 36 | 1 0 2 |
| 34.50 | 50 | 0 2 0 |
| 34.81 | 30 | 2 0 1 |
| 36.09 | 38 | 2 1 0 |
| 37.38 | 34 | 1 1 2 |
| 39.01 | 58 | 2 1 1 |
| 48.49 | 28 | 1 2 2 |
| 49.82 | 24 | 2 2 1 |
| 50.27 | 38 | 1 1 3 |

Atomic structure:
Cell lengths 5.6699, 5.1994, 6.1821 Å; angles 90.00, 90.00, 90.00 degrees
Space group Pnma (No. 62)
Unique sites:
1 Sc 0.0110 0.2500 0.1705
2 B 0.1446 0.5805 0.4663
3 Os 0.1776 0.2500 0.6795